Computed X-ray diffraction stick pattern
Compound: Tb3NdDy
Radiation: Cu Kα X-rays
Structure: DFT lattice parameters and positions (GGA-PBE)
No peak broadening, texture or thermal motion is included.

abc: 6.197 6.197 11.333
angles: 90.11 90.11 48.21
Sites, in units of the cell vectors:
Tb  0.049  0.049  0.153
Tb  0.252  0.252  0.746
Tb  0.449  0.449  0.352
Tb  0.551  0.551  0.648
Tb  0.748  0.748  0.254
Tb  0.951  0.951  0.847
Nd  0.350  0.350  0.051
Nd  0.650  0.650  0.949
Dy  0.150  0.150  0.451
Dy  0.850  0.850  0.549

Top 8 peaks for 10 to 80 degrees two-theta, most intense first:
30.58 deg, d = 2.923 Å, I = 100
35.46 deg, d = 2.532 Å, I = 51
60.63 deg, d = 1.527 Å, I = 29
51.00 deg, d = 1.791 Å, I = 24
60.72 deg, d = 1.525 Å, I = 14
63.66 deg, d = 1.462 Å, I = 12
51.06 deg, d = 1.789 Å, I = 12
75.10 deg, d = 1.265 Å, I = 4